Record 1
Calculated X-ray powder pattern
Compound: GdPPd
Radiation: λ = 1.5418 Å (Cu Kα)
Structure: a crystal structure in the Materials Project, relaxed with PBE
Lines closer than 0.1° are merged.

Crystal structure
a = 4.2051 Å, b = 4.2051 Å, c = 7.5864 Å
α = 90.00°, β = 90.00°, γ = 120.00°
Space group P6_3/mmc (No. 194)
Inequivalent atoms, fractional coordinates:
1 Gd 0.0000 0.0000 0.0000 x2
2 P 0.3333 0.6667 0.2500 x2
3 Pd 0.3333 0.6667 0.7500 x2

Top 10 peaks for 10° ≤ 2θ ≤ 80°, in order of falling intensity:
- 2θ 34.1, I 100
- 2θ 43.0, I 45
- 2θ 66.4, I 24
- 2θ 56.0, I 24
- 2θ 73.1, I 22
- 2θ 24.4, I 16
- 2θ 27.2, I 16
- 2θ 48.0, I 11
- 2θ 78.9, I 7
- 2θ 43.6, I 5

---

Record 2
Calculated X-ray powder pattern
Compound: MgTi2O4
Radiation: λ = 1.5418 Å (Cu Kα)
Structure: a crystal structure in the Materials Project, relaxed with PBE
Lines closer than 0.1° are merged.

Crystal structure
a = 10.632 Å, b = 5.925 Å, c = 14.789 Å
α = 90.00°, β = 90.68°, γ = 90.00°
Space group Cm (No. 8)
Inequivalent atoms, fractional coordinates:
1 Mg 0.000 0.000 0.000 x2
2 Mg 0.004 0.500 0.872 x2
3 Mg 0.159 0.000 0.204 x2
4 Mg 0.168 0.500 0.706 x2
5 Mg 0.333 0.500 0.537 x2
6 Mg 0.495 0.500 0.367 x2
7 Ti 0.001 0.000 0.752 x2
8 Ti 0.084 0.236 0.537 x4
9 Ti 0.167 0.500 0.326 x2
10 Ti 0.176 0.500 0.073 x2
11 Ti 0.256 0.230 0.875 x4
12 Ti 0.333 0.000 0.658 x2
13 Ti 0.337 0.000 0.413 x2
14 Ti 0.339 0.000 0.044 x2
15 Ti 0.414 0.229 0.197 x4
16 O 0.006 0.500 0.619 x2
17 O 0.011 0.500 0.115 x2
18 O 0.077 0.246 0.285 x4
19 O 0.091 0.256 0.792 x4
20 O 0.166 0.000 0.453 x2
21 O 0.168 0.500 0.455 x2
22 O 0.170 0.500 0.945 x2
23 O 0.174 0.000 0.957 x2
24 O 0.245 0.261 0.617 x4
25 O 0.251 0.239 0.123 x4
26 O 0.330 0.500 0.791 x2
27 O 0.331 0.000 0.284 x2
28 O 0.334 0.500 0.283 x2
29 O 0.335 0.000 0.787 x2
30 O 0.410 0.233 0.952 x4
31 O 0.424 0.259 0.457 x4
32 O 0.493 0.500 0.133 x2
33 O 0.499 0.500 0.623 x2

Top 10 peaks for 10° ≤ 2θ ≤ 80°, in order of falling intensity:
- 2θ 34.9, I 100
- 2θ 35.3, I 62
- 2θ 35.2, I 53
- 2θ 60.9, I 51
- 2θ 42.5, I 50
- 2θ 61.9, I 47
- 2θ 29.4, I 37
- 2θ 34.5, I 34
- 2θ 29.3, I 31
- 2θ 34.4, I 27